1.
The following is a computed XRD peak list of Li2Ag2Br5. It was derived from the PBE geometry in Alexandria, using Cu Kα, 1.54184 Å.
Peak positions follow from Bragg's law for the DFT cell and can differ from measured ones.

Cell and atoms:
a b c (Å): 20.752 3.979 6.919
angles (deg): 90.00 107.05 90.00
Space group C2/m (No. 12)
One atom of each set of equivalent atoms:
Li1 0.190 0.000 0.367
Ag1 0.073 0.500 0.755
Br1 0.000 0.000 0.500
Br2 0.101 0.000 0.022
Br3 0.182 0.500 0.580

Most intense lines, 2θ from 5° to 70°, in order of rising 2θ:
h k l	d (Å)	I/Imax
2 0 0	9.920	89
2 0 1	4.882	65
4 0 -1	4.682	82
1 1 -1	3.449	62
6 0 -1	3.381	77
3 1 1	2.860	100
1 1 2	2.454	63
3 1 -3	1.994	31
5 1 -3	1.941	32
2 0 -4	1.715	33



2.
The following is a computed XRD peak list of Li2AgBr3. It was derived from the PBE geometry in Alexandria, using Cu Kα, 1.54184 Å.
Peak positions follow from Bragg's law for the DFT cell and can differ from measured ones.

Cell and atoms:
a b c (Å): 4.272 12.779 6.028
angles (deg): 90.00 90.00 90.00
Space group Imm2 (No. 44)
One atom of each set of equivalent atoms:
Li1 0.000 0.169 0.000
Ag1 0.000 0.500 0.992
Br1 0.000 0.000 0.775
Br2 0.000 0.325 0.734

Most intense lines, 2θ from 5° to 70°, in order of rising 2θ:
h k l	d (Å)	I/Imax
0 2 0	6.389	12
0 1 1	5.452	15
1 0 1	3.482	100
1 2 1	3.060	16
1 3 0	3.016	10
1 4 1	2.355	10
2 0 0	2.133	55
0 6 0	2.130	11
1 6 1	1.819	43
2 6 0	1.508	10



3.
The following is a computed XRD peak list of Li3Ag2Br6. It was derived from the PBE geometry in Alexandria, using Cu Kα, 1.54184 Å.
Peak positions follow from Bragg's law for the DFT cell and can differ from measured ones.

Cell and atoms:
a b c (Å): 3.9838 3.9838 59.2160
angles (deg): 90.00 90.00 120.00
Space group R-3m (No. 166, hexagonal axes)
One atom of each set of equivalent atoms:
Li1 0.0000 0.0000 0.0000
Li2 0.0000 0.0000 0.2804
Ag1 0.0000 0.0000 0.4451
Br1 0.0000 0.0000 0.0794
Br2 0.0000 0.0000 0.1977
Br3 0.0000 0.0000 0.3598

Most intense lines, 2θ from 5° to 70°, in order of rising 2θ:
h k l	d (Å)	I/Imax
0 0 6	9.869	26
0 0 9	6.580	41
1 0 7	3.195	29
0 1 8	3.127	47
0 1 11	2.905	100
0 1 14	2.673	32
0 1 17	2.451	16
1 1 0	1.992	60
1 0 25	1.953	48
0 0 36	1.643	25



4.
The following is a computed XRD peak list of LiAg3Br4. It was derived from the PBE geometry in Alexandria, using Cu Kα, 1.54184 Å.
Peak positions follow from Bragg's law for the DFT cell and can differ from measured ones.

Cell and atoms:
a b c (Å): 6.222 6.222 12.309
angles (deg): 90.00 90.00 90.00
Space group I-42m (No. 121)
One atom of each set of equivalent atoms:
Li1 0.000 0.000 0.000
Ag1 0.000 0.000 0.500
Ag2 0.000 0.500 0.250
Br1 0.238 0.238 0.881

Most intense lines, 2θ from 5° to 70°, in order of rising 2θ:
h k l	d (Å)	I/Imax
1 0 1	5.553	10
1 1 2	3.579	100
1 0 3	3.425	6
2 1 1	2.714	7
2 2 0	2.200	25
2 0 4	2.188	50
3 1 2	1.874	30
1 1 6	1.859	15
4 0 0	1.555	8
3 1 6	1.420	12



5.
The following is a computed XRD peak list of LiAgBr3. It was derived from the PBE geometry in Alexandria, using Cu Kα, 1.54184 Å.
Peak positions follow from Bragg's law for the DFT cell and can differ from measured ones.

Cell and atoms:
a b c (Å): 11.391 7.292 7.304
angles (deg): 90.00 119.64 90.00
Space group Cc (No. 9)
One atom of each set of equivalent atoms:
Li1 0.000 0.240 0.000
Ag1 0.180 0.251 0.555
Br1 0.092 0.419 0.776
Br2 0.250 0.109 0.294
Br3 0.433 0.386 0.793

Most intense lines, 2θ from 5° to 70°, in order of rising 2θ:
h k l	d (Å)	I/Imax
1 1 -1	5.124	93
2 0 0	4.950	38
1 1 1	3.792	33
0 2 1	3.162	100
3 1 0	3.007	63
3 1 -2	2.942	72
3 1 1	2.340	54
3 1 -3	2.280	49
3 3 -1	2.047	70
6 0 -2	1.897	32



6.
The following is a computed XRD peak list of LiAg5Br8. It was derived from the PBE geometry in Alexandria, using Cu Kα, 1.54184 Å.
Peak positions follow from Bragg's law for the DFT cell and can differ from measured ones.

Cell and atoms:
a b c (Å): 11.599 11.599 11.599
angles (deg): 90.00 90.00 90.00
Space group F-43m (No. 216)
One atom of each set of equivalent atoms:
Li1 0.000 0.000 0.000
Ag1 0.126 0.126 0.374
Ag2 0.250 0.250 0.750
Br1 0.117 0.117 0.617
Br2 0.130 0.130 0.130

Most intense lines, 2θ from 5° to 70°, in order of rising 2θ:
h k l	d (Å)	I/Imax
1 1 1	6.697	35
3 1 1	3.497	58
2 2 2	3.348	10
4 0 0	2.900	91
5 1 1	2.232	32
4 4 0	2.050	100
5 3 1	1.961	9
4 4 4	1.674	22
5 5 3	1.510	12
8 0 0	1.450	15



What did the second record say?
The following is a computed XRD peak list of Li2AgBr3. It was derived from the PBE geometry in Alexandria, using Cu Kα, 1.54184 Å.
Peak positions follow from Bragg's law for the DFT cell and can differ from measured ones.

Cell and atoms:
a b c (Å): 4.272 12.779 6.028
angles (deg): 90.00 90.00 90.00
Space group Imm2 (No. 44)
One atom of each set of equivalent atoms:
Li1 0.000 0.169 0.000
Ag1 0.000 0.500 0.992
Br1 0.000 0.000 0.775
Br2 0.000 0.325 0.734

Most intense lines, 2θ from 5° to 70°, in order of rising 2θ:
h k l	d (Å)	I/Imax
0 2 0	6.389	12
0 1 1	5.452	15
1 0 1	3.482	100
1 2 1	3.060	16
1 3 0	3.016	10
1 4 1	2.355	10
2 0 0	2.133	55
0 6 0	2.130	11
1 6 1	1.819	43
2 6 0	1.508	10